(1)
Structure and calculated X-ray powder pattern of Na5Te2AuO28 (the GGA-PBE geometry in the Materials Project; Cu Kα (λ = 1.5418 Å)).
Peak positions follow from Bragg's law for the DFT cell and can differ from measured ones.

Crystal structure
```
data_Na5Te2AuO28
_chemical_formula_sum 'Na5 Te2 Au1 O28'
_symmetry_space_group_name_H-M 'P 1'
_symmetry_Int_Tables_number 1
_cell_length_a 4.9773
_cell_length_b 8.7457
_cell_length_c 13.3931
_cell_angle_alpha 89.87
_cell_angle_beta 84.55
_cell_angle_gamma 74.73
loop_
_symmetry_equiv_pos_as_xyz
'x,y,z'
loop_
_atom_site_label
_atom_site_type_symbol
_atom_site_fract_x
_atom_site_fract_y
_atom_site_fract_z
Na1 Na 0.0000 0.0000 0.0000
Na2 Na 0.2226 0.6402 0.4544
Na3 Na 0.3920 0.7689 0.1907
Na4 Na 0.6080 0.2311 0.8093
Na5 Na 0.7774 0.3598 0.5456
Te1 Te 0.2767 0.2248 0.2971
Te2 Te 0.7233 0.7752 0.7029
Au1 Au 0.5000 0.0000 0.5000
O1 O 0.0867 0.1787 0.8575
O2 O 0.1307 0.3103 0.8814
O3 O 0.1502 0.7567 0.6536
O4 O 0.1515 0.4718 0.2785
O5 O 0.2207 0.8703 0.3549
O6 O 0.2484 0.1634 0.1433
O7 O 0.2588 0.2412 0.4721
O8 O 0.2700 0.5975 0.9412
O9 O 0.3033 0.7782 0.7376
O10 O 0.3094 0.3695 0.5201
O11 O 0.3525 0.0111 0.1074
O12 O 0.3548 0.5496 0.2789
O13 O 0.3549 0.7095 0.9699
O14 O 0.4208 0.9512 0.3523
O15 O 0.5792 0.0488 0.6477
O16 O 0.6451 0.2905 0.0301
O17 O 0.6452 0.4504 0.7211
O18 O 0.6475 0.9889 0.8926
O19 O 0.6906 0.6305 0.4799
O20 O 0.6967 0.2218 0.2624
O21 O 0.7300 0.4025 0.0588
O22 O 0.7412 0.7588 0.5279
O23 O 0.7516 0.8366 0.8567
O24 O 0.7793 0.1297 0.6451
O25 O 0.8485 0.5282 0.7215
O26 O 0.8498 0.2433 0.3464
O27 O 0.8693 0.6897 0.1186
O28 O 0.9133 0.8213 0.1425
```

Top 6 peaks for 2θ from 5° to 70°, low angle first:
- 2θ 6.63, intensity 100.0
- 2θ 10.49, intensity 30.5
- 2θ 12.55, intensity 50.8
- 2θ 18.77, intensity 23.9
- 2θ 20.35, intensity 41.3
- 2θ 34.33, intensity 27.1


(2)
Structure and calculated X-ray powder pattern of NaPrAu2 (the GGA-PBE geometry in the Materials Project; Cu Kα (λ = 1.5418 Å)).
Peak positions follow from Bragg's law for the DFT cell and can differ from measured ones.

Crystal structure
```
data_NaPrAu2
_chemical_formula_sum 'Na4 Pr4 Au8'
_symmetry_space_group_name_H-M 'P 1'
_symmetry_Int_Tables_number 1
_cell_length_a 7.2667
_cell_length_b 7.2667
_cell_length_c 7.2667
_cell_angle_alpha 90.00
_cell_angle_beta 90.00
_cell_angle_gamma 90.00
loop_
_symmetry_equiv_pos_as_xyz
'x,y,z'
loop_
_atom_site_label
_atom_site_type_symbol
_atom_site_fract_x
_atom_site_fract_y
_atom_site_fract_z
Na1 Na 0.0000 0.0000 0.0000
Na2 Na 0.0000 0.5000 0.5000
Na3 Na 0.5000 0.0000 0.5000
Na4 Na 0.5000 0.5000 0.0000
Pr1 Pr 0.0000 0.0000 0.5000
Pr2 Pr 0.0000 0.5000 0.0000
Pr3 Pr 0.5000 0.0000 0.0000
Pr4 Pr 0.5000 0.5000 0.5000
Au1 Au 0.2500 0.2500 0.2500
Au2 Au 0.2500 0.2500 0.7500
Au3 Au 0.2500 0.7500 0.2500
Au4 Au 0.2500 0.7500 0.7500
Au5 Au 0.7500 0.2500 0.2500
Au6 Au 0.7500 0.2500 0.7500
Au7 Au 0.7500 0.7500 0.2500
Au8 Au 0.7500 0.7500 0.7500
```

Top 6 peaks for 2θ from 5° to 70°, low angle first:
- 2θ 21.18, intensity 10.2
- 2θ 24.50, intensity 19.9
- 2θ 34.92, intensity 100.0
- 2θ 50.22, intensity 18.0
- 2θ 56.65, intensity 8.8
- 2θ 62.63, intensity 37.1


(3)
Structure and calculated X-ray powder pattern of NaSiAu3 (the GGA-PBE geometry in the Materials Project; Cu Kα (λ = 1.5418 Å)).
Peak positions follow from Bragg's law for the DFT cell and can differ from measured ones.

Crystal structure
```
data_NaSiAu3
_chemical_formula_sum 'Na8 Si8 Au24'
_symmetry_space_group_name_H-M 'P 1'
_symmetry_Int_Tables_number 1
_cell_length_a 9.0704
_cell_length_b 9.0704
_cell_length_c 9.0704
_cell_angle_alpha 90.00
_cell_angle_beta 90.00
_cell_angle_gamma 90.00
loop_
_symmetry_equiv_pos_as_xyz
'x,y,z'
loop_
_atom_site_label
_atom_site_type_symbol
_atom_site_fract_x
_atom_site_fract_y
_atom_site_fract_z
Na1 Na 0.0968 0.0968 0.0968
Na2 Na 0.0968 0.4032 0.5968
Na3 Na 0.4032 0.5968 0.0968
Na4 Na 0.4032 0.9032 0.5968
Na5 Na 0.5968 0.0968 0.4032
Na6 Na 0.5968 0.4032 0.9032
Na7 Na 0.9032 0.5968 0.4032
Na8 Na 0.9032 0.9032 0.9032
Si1 Si 0.1240 0.6240 0.8760
Si2 Si 0.1240 0.8760 0.3760
Si3 Si 0.3760 0.1240 0.8760
Si4 Si 0.3760 0.3760 0.3760
Si5 Si 0.6240 0.6240 0.6240
Si6 Si 0.6240 0.8760 0.1240
Si7 Si 0.8760 0.1240 0.6240
Si8 Si 0.8760 0.3760 0.1240
Au1 Au 0.0955 0.7265 0.1285
Au2 Au 0.0955 0.7735 0.6285
Au3 Au 0.1285 0.0955 0.7265
Au4 Au 0.1285 0.4045 0.2265
Au5 Au 0.2265 0.1285 0.4045
Au6 Au 0.2265 0.3715 0.9045
Au7 Au 0.2735 0.6285 0.4045
Au8 Au 0.2735 0.8715 0.9045
Au9 Au 0.3715 0.5955 0.7265
Au10 Au 0.3715 0.9045 0.2265
Au11 Au 0.4045 0.2265 0.1285
Au12 Au 0.4045 0.2735 0.6285
Au13 Au 0.5955 0.7265 0.3715
Au14 Au 0.5955 0.7735 0.8715
Au15 Au 0.6285 0.0955 0.7735
Au16 Au 0.6285 0.4045 0.2735
Au17 Au 0.7265 0.1285 0.0955
Au18 Au 0.7265 0.3715 0.5955
Au19 Au 0.7735 0.6285 0.0955
Au20 Au 0.7735 0.8715 0.5955
Au21 Au 0.8715 0.5955 0.7735
Au22 Au 0.8715 0.9045 0.2735
Au23 Au 0.9045 0.2265 0.3715
Au24 Au 0.9045 0.2735 0.8715
```

Top 6 peaks for 2θ from 5° to 70°, low angle first:
- 2θ 24.03, intensity 59.3
- 2θ 35.69, intensity 100.0
- 2θ 37.09, intensity 49.9
- 2θ 41.03, intensity 44.6
- 2θ 45.85, intensity 40.6
- 2θ 63.19, intensity 37.2


(4)
Structure and calculated X-ray powder pattern of NaSmAu2 (the GGA-PBE geometry in the Materials Project; Cu Kα (λ = 1.5418 Å)).
Peak positions follow from Bragg's law for the DFT cell and can differ from measured ones.

Crystal structure
```
data_NaSmAu2
_chemical_formula_sum 'Na4 Sm4 Au8'
_symmetry_space_group_name_H-M 'P 1'
_symmetry_Int_Tables_number 1
_cell_length_a 7.1640
_cell_length_b 7.1640
_cell_length_c 7.1640
_cell_angle_alpha 90.00
_cell_angle_beta 90.00
_cell_angle_gamma 90.00
loop_
_symmetry_equiv_pos_as_xyz
'x,y,z'
loop_
_atom_site_label
_atom_site_type_symbol
_atom_site_fract_x
_atom_site_fract_y
_atom_site_fract_z
Na1 Na 0.0000 0.0000 0.0000
Na2 Na 0.0000 0.5000 0.5000
Na3 Na 0.5000 0.0000 0.5000
Na4 Na 0.5000 0.5000 0.0000
Sm1 Sm 0.0000 0.0000 0.5000
Sm2 Sm 0.0000 0.5000 0.0000
Sm3 Sm 0.5000 0.0000 0.0000
Sm4 Sm 0.5000 0.5000 0.5000
Au1 Au 0.2500 0.2500 0.2500
Au2 Au 0.2500 0.2500 0.7500
Au3 Au 0.2500 0.7500 0.2500
Au4 Au 0.2500 0.7500 0.7500
Au5 Au 0.7500 0.2500 0.2500
Au6 Au 0.7500 0.2500 0.7500
Au7 Au 0.7500 0.7500 0.2500
Au8 Au 0.7500 0.7500 0.7500
```

Top 6 peaks for 2θ from 5° to 70°, low angle first:
- 2θ 21.48, intensity 11.3
- 2θ 24.86, intensity 18.2
- 2θ 35.44, intensity 100.0
- 2θ 50.99, intensity 17.9
- 2θ 57.53, intensity 7.9
- 2θ 63.63, intensity 36.9


(5)
Structure and calculated X-ray powder pattern of NaSnAu (the GGA-PBE geometry in the Materials Project; Cu Kα (λ = 1.5418 Å)).
Peak positions follow from Bragg's law for the DFT cell and can differ from measured ones.

Crystal structure
```
data_NaSnAu
_chemical_formula_sum 'Na4 Sn4 Au4'
_symmetry_space_group_name_H-M 'P 1'
_symmetry_Int_Tables_number 1
_cell_length_a 7.6081
_cell_length_b 4.6372
_cell_length_c 8.2690
_cell_angle_alpha 90.00
_cell_angle_beta 90.00
_cell_angle_gamma 90.00
loop_
_symmetry_equiv_pos_as_xyz
'x,y,z'
loop_
_atom_site_label
_atom_site_type_symbol
_atom_site_fract_x
_atom_site_fract_y
_atom_site_fract_z
Na1 Na 0.0166 0.2500 0.1729
Na2 Na 0.4834 0.7500 0.6729
Na3 Na 0.5166 0.2500 0.3271
Na4 Na 0.9834 0.7500 0.8271
Sn1 Sn 0.1596 0.2500 0.5619
Sn2 Sn 0.3404 0.7500 0.0619
Sn3 Sn 0.6596 0.2500 0.9381
Sn4 Sn 0.8404 0.7500 0.4381
Au1 Au 0.2099 0.7500 0.3744
Au2 Au 0.2901 0.2500 0.8744
Au3 Au 0.7099 0.7500 0.1256
Au4 Au 0.7901 0.2500 0.6256
```

Top 6 peaks for 2θ from 5° to 70°, low angle first:
- 2θ 15.83, intensity 54.9
- 2θ 21.98, intensity 100.0
- 2θ 23.38, intensity 63.9
- 2θ 32.31, intensity 77.4
- 2θ 37.98, intensity 60.2
- 2θ 39.85, intensity 53.3


(6)
Structure and calculated X-ray powder pattern of Nb3Au2 (the GGA-PBE geometry in the Materials Project; Cu Kα (λ = 1.5418 Å)).
Peak positions follow from Bragg's law for the DFT cell and can differ from measured ones.

Crystal structure
```
data_Nb3Au2
_chemical_formula_sum 'Nb6 Au4'
_symmetry_space_group_name_H-M 'P 1'
_symmetry_Int_Tables_number 1
_cell_length_a 3.4273
_cell_length_b 3.4273
_cell_length_c 15.4214
_cell_angle_alpha 90.00
_cell_angle_beta 90.00
_cell_angle_gamma 90.00
loop_
_symmetry_equiv_pos_as_xyz
'x,y,z'
loop_
_atom_site_label
_atom_site_type_symbol
_atom_site_fract_x
_atom_site_fract_y
_atom_site_fract_z
Nb1 Nb 0.0000 0.0000 0.0000
Nb2 Nb 0.0000 0.0000 0.4009
Nb3 Nb 0.0000 0.0000 0.5991
Nb4 Nb 0.5000 0.5000 0.0991
Nb5 Nb 0.5000 0.5000 0.5000
Nb6 Nb 0.5000 0.5000 0.9009
Au1 Au 0.0000 0.0000 0.1992
Au2 Au 0.0000 0.0000 0.8008
Au3 Au 0.5000 0.5000 0.3008
Au4 Au 0.5000 0.5000 0.6992
```

Top 6 peaks for 2θ from 5° to 70°, low angle first:
- 2θ 11.48, intensity 22.5
- 2θ 31.37, intensity 11.5
- 2θ 37.10, intensity 58.7
- 2θ 39.30, intensity 100.0
- 2θ 53.47, intensity 20.4
- 2θ 68.34, intensity 39.0


(7)
Structure and calculated X-ray powder pattern of Nb3Au (the GGA-PBE geometry in the Materials Project; Cu Kα (λ = 1.5418 Å)).
Peak positions follow from Bragg's law for the DFT cell and can differ from measured ones.

Crystal structure
```
data_Nb3Au
_chemical_formula_sum 'Nb6 Au2'
_symmetry_space_group_name_H-M 'P 1'
_symmetry_Int_Tables_number 1
_cell_length_a 3.5124
_cell_length_b 4.4274
_cell_length_c 9.3147
_cell_angle_alpha 90.00
_cell_angle_beta 90.00
_cell_angle_gamma 90.00
loop_
_symmetry_equiv_pos_as_xyz
'x,y,z'
loop_
_atom_site_label
_atom_site_type_symbol
_atom_site_fract_x
_atom_site_fract_y
_atom_site_fract_z
Nb1 Nb 0.0000 0.0000 0.0000
Nb2 Nb 0.0000 0.5000 0.2507
Nb3 Nb 0.0000 0.5000 0.7493
Nb4 Nb 0.5000 0.0000 0.2507
Nb5 Nb 0.5000 0.0000 0.7493
Nb6 Nb 0.5000 0.5000 0.0000
Au1 Au 0.0000 0.0000 0.5000
Au2 Au 0.5000 0.5000 0.5000
```

Top 6 peaks for 2θ from 5° to 70°, low angle first:
- 2θ 9.49, intensity 24.7
- 2θ 37.98, intensity 100.0
- 2θ 38.67, intensity 23.8
- 2θ 40.76, intensity 20.5
- 2θ 57.44, intensity 14.8
- 2θ 69.52, intensity 16.6


(8)
Structure and calculated X-ray powder pattern of Nb3Au2 (the GGA-PBE geometry in the Materials Project; Cu Kα (λ = 1.5418 Å)).
Peak positions follow from Bragg's law for the DFT cell and can differ from measured ones.

Crystal structure
```
data_Nb3Au2
_chemical_formula_sum 'Nb12 Au8'
_symmetry_space_group_name_H-M 'P 1'
_symmetry_Int_Tables_number 1
_cell_length_a 7.1366
_cell_length_b 7.1366
_cell_length_c 7.1366
_cell_angle_alpha 90.00
_cell_angle_beta 90.00
_cell_angle_gamma 90.00
loop_
_symmetry_equiv_pos_as_xyz
'x,y,z'
loop_
_atom_site_label
_atom_site_type_symbol
_atom_site_fract_x
_atom_site_fract_y
_atom_site_fract_z
Nb1 Nb 0.0583 0.1250 0.8083
Nb2 Nb 0.1250 0.8083 0.0583
Nb3 Nb 0.1917 0.5583 0.3750
Nb4 Nb 0.3083 0.4417 0.8750
Nb5 Nb 0.3750 0.1917 0.5583
Nb6 Nb 0.4417 0.8750 0.3083
Nb7 Nb 0.5583 0.3750 0.1917
Nb8 Nb 0.6250 0.6917 0.9417
Nb9 Nb 0.6917 0.9417 0.6250
Nb10 Nb 0.8083 0.0583 0.1250
Nb11 Nb 0.8750 0.3083 0.4417
Nb12 Nb 0.9417 0.6250 0.6917
Au1 Au 0.0504 0.9496 0.4496
Au2 Au 0.1996 0.1996 0.1996
Au3 Au 0.3004 0.8004 0.6996
Au4 Au 0.4496 0.0504 0.9496
Au5 Au 0.5504 0.5504 0.5504
Au6 Au 0.6996 0.3004 0.8004
Au7 Au 0.8004 0.6996 0.3004
Au8 Au 0.9496 0.4496 0.0504
```

Top 6 peaks for 2θ from 5° to 70°, low angle first:
- 2θ 21.57, intensity 25.0
- 2θ 35.58, intensity 25.8
- 2θ 37.82, intensity 100.0
- 2θ 39.95, intensity 52.4
- 2θ 41.99, intensity 54.6
- 2θ 66.85, intensity 41.9


(9)
Structure and calculated X-ray powder pattern of Nb3Au (the GGA-PBE geometry in the Materials Project; Cu Kα (λ = 1.5418 Å)).
Peak positions follow from Bragg's law for the DFT cell and can differ from measured ones.

Crystal structure
```
data_Nb3Au
_chemical_formula_sum 'Nb6 Au2'
_symmetry_space_group_name_H-M 'P 1'
_symmetry_Int_Tables_number 1
_cell_length_a 5.2563
_cell_length_b 5.2563
_cell_length_c 5.2563
_cell_angle_alpha 90.00
_cell_angle_beta 90.00
_cell_angle_gamma 90.00
loop_
_symmetry_equiv_pos_as_xyz
'x,y,z'
loop_
_atom_site_label
_atom_site_type_symbol
_atom_site_fract_x
_atom_site_fract_y
_atom_site_fract_z
Nb1 Nb 0.0000 0.2500 0.5000
Nb2 Nb 0.0000 0.7500 0.5000
Nb3 Nb 0.2500 0.5000 0.0000
Nb4 Nb 0.5000 0.0000 0.2500
Nb5 Nb 0.5000 0.0000 0.7500
Nb6 Nb 0.7500 0.5000 0.0000
Au1 Au 0.0000 0.0000 0.0000
Au2 Au 0.5000 0.5000 0.5000
```

Top 6 peaks for 2θ from 5° to 70°, low angle first:
- 2θ 23.94, intensity 24.9
- 2θ 34.11, intensity 44.6
- 2θ 38.29, intensity 54.7
- 2θ 42.11, intensity 100.0
- 2θ 63.85, intensity 11.7
- 2θ 66.57, intensity 51.5


(10)
Structure and calculated X-ray powder pattern of NbAu2 (the GGA-PBE geometry in the Materials Project; Cu Kα (λ = 1.5418 Å)).
Peak positions follow from Bragg's law for the DFT cell and can differ from measured ones.

Crystal structure
```
data_NbAu2
_chemical_formula_sum 'Nb1 Au2'
_symmetry_space_group_name_H-M 'P 1'
_symmetry_Int_Tables_number 1
_cell_length_a 4.7088
_cell_length_b 4.7088
_cell_length_c 2.7729
_cell_angle_alpha 90.00
_cell_angle_beta 90.00
_cell_angle_gamma 120.00
loop_
_symmetry_equiv_pos_as_xyz
'x,y,z'
loop_
_atom_site_label
_atom_site_type_symbol
_atom_site_fract_x
_atom_site_fract_y
_atom_site_fract_z
Nb1 Nb 0.0000 0.0000 0.0000
Au1 Au 0.3333 0.6667 0.5000
Au2 Au 0.6667 0.3333 0.5000
```

Top 6 peaks for 2θ from 5° to 70°, low angle first:
- 2θ 32.28, intensity 19.5
- 2θ 38.23, intensity 100.0
- 2θ 39.29, intensity 66.0
- 2θ 50.88, intensity 33.8
- 2θ 55.98, intensity 23.5
- 2θ 69.81, intensity 24.3